The following is a calculated PXRD pattern of AlSbP2Cl. It was derived from a crystal structure in Alexandria, relaxed with PBE, using Cu Kα, 1.54184 Å.

Peak list (10 most intense, 2θ = 15–90°, sorted by position)
d [Å], I/Imax
3.397, 37
3.291, 57
2.715, 100
2.402, 57
2.258, 24
1.940, 26
1.698, 19
1.645, 34
1.440, 26
1.357, 18

Structural model:
Unit cell a=4.804 b=4.804 c=4.517 alpha=90.00 beta=90.00 gamma=90.00
Positions (direct):
Al (0.000, 0.000, 0.000)
Sb (0.500, 0.500, 0.500)
P (0.000, 0.500, 0.000)
P (0.500, 0.000, 0.000)
Cl (0.000, 0.000, 0.500)

The following is a calculated PXRD pattern of DyEr2Hg5. It was derived from a crystal structure in Alexandria, relaxed with PBE, using Cu Kα, 1.54184 Å.

Peak list (10 most intense, 2θ = 15–90°, sorted by position)
d [Å], I/Imax
2.589, 52
2.580, 100
1.831, 19
1.817, 8
1.493, 38
1.488, 17
1.295, 6
1.290, 11
1.158, 17
1.150, 7

Structural model:
Unit cell a=8.140 b=8.140 c=8.140 alpha=142.90 beta=142.90 gamma=53.47
Positions (direct):
Dy (0.000, 0.000, 0.000)
Er (0.264, 0.264, 0.000)
Er (0.736, 0.736, 0.000)
Hg (0.126, 0.626, 0.500)
Hg (0.374, 0.874, 0.500)
Hg (0.500, 0.500, 0.000)
Hg (0.626, 0.126, 0.500)
Hg (0.874, 0.374, 0.500)

The following is a calculated PXRD pattern of CaNd12Tm2. It was derived from a crystal structure in Alexandria, relaxed with PBE, using Cu Kα, 1.54184 Å.

Peak list (10 most intense, 2θ = 15–90°, sorted by position)
d [Å], I/Imax
3.086, 63
2.975, 100
2.916, 80
2.878, 27
2.793, 42
2.758, 49
2.545, 25
2.482, 27
1.946, 28
1.619, 30

Structural model:
Unit cell a=6.850 b=6.850 c=25.459 alpha=90.00 beta=90.00 gamma=116.71
Positions (direct):
Ca (0.250, 0.750, 0.000)
Ca (0.750, 0.250, 0.000)
Nd (0.001, 0.501, 0.139)
Nd (0.001, 0.999, 0.918)
Nd (0.019, 0.519, 0.585)
Nd (0.024, 0.976, 0.441)
Nd (0.250, 0.250, 0.204)
Nd (0.250, 0.250, 0.327)
Nd (0.250, 0.250, 0.673)
Nd (0.250, 0.250, 0.796)
Nd (0.476, 0.524, 0.441)
Nd (0.481, 0.981, 0.585)
Nd (0.499, 0.501, 0.918)
Nd (0.499, 0.999, 0.139)
Nd (0.501, 0.001, 0.861)
Nd (0.501, 0.499, 0.082)
Nd (0.519, 0.019, 0.415)
Nd (0.524, 0.476, 0.559)
Nd (0.750, 0.750, 0.204)
Nd (0.750, 0.750, 0.327)
Nd (0.750, 0.750, 0.673)
Nd (0.750, 0.750, 0.796)
Nd (0.976, 0.024, 0.559)
Nd (0.981, 0.481, 0.415)
Nd (0.999, 0.001, 0.082)
Nd (0.999, 0.499, 0.861)
Tm (0.250, 0.750, 0.274)
Tm (0.250, 0.750, 0.729)
Tm (0.750, 0.250, 0.271)
Tm (0.750, 0.250, 0.726)

The following is a calculated PXRD pattern of K2CeP2O8. It was derived from a crystal structure in Alexandria, relaxed with PBE, using Cu Kα, 1.54184 Å.

Peak list (10 most intense, 2θ = 15–90°, sorted by position)
d [Å], I/Imax
4.522, 37
4.292, 26
3.457, 84
3.183, 92
3.047, 100
2.550, 43
2.148, 60
1.973, 28
1.939, 32
1.765, 39

Structural model:
Unit cell a=10.212 b=10.212 c=10.212 alpha=140.42 beta=140.42 gamma=57.21
Positions (direct):
K (0.000, 0.000, 0.000)
K (0.000, 0.000, 0.500)
K (0.000, 0.500, 0.000)
K (0.500, 0.000, 0.500)
Ce (0.375, 0.625, 0.750)
Ce (0.625, 0.375, 0.250)
P (0.199, 0.449, 0.750)
P (0.449, 0.199, 0.250)
P (0.551, 0.801, 0.750)
P (0.801, 0.551, 0.250)
O (0.032, 0.603, 0.428)
O (0.251, 0.321, 0.570)
O (0.251, 0.681, 0.930)
O (0.319, 0.749, 0.570)
O (0.321, 0.251, 0.070)
O (0.325, 0.397, 0.928)
O (0.397, 0.325, 0.428)
O (0.397, 0.968, 0.072)
O (0.603, 0.032, 0.928)
O (0.603, 0.675, 0.572)
O (0.675, 0.603, 0.072)
O (0.679, 0.749, 0.930)
O (0.681, 0.251, 0.430)
O (0.749, 0.319, 0.070)
O (0.749, 0.679, 0.430)
O (0.968, 0.397, 0.572)

The following is a calculated PXRD pattern of Sr2GdCu2RuO8. It was derived from a crystal structure in Alexandria, relaxed with PBE, using Cu Kα, 1.54184 Å.

Peak list (10 most intense, 2θ = 15–90°, sorted by position)
d [Å], I/Imax
3.696, 12
2.758, 49
2.745, 100
1.950, 34
1.932, 10
1.590, 38
1.582, 15
1.379, 10
1.372, 12
1.233, 16

Structural model:
Unit cell a=11.591 b=3.900 c=3.900 alpha=90.01 beta=90.00 gamma=90.00
Positions (direct):
Sr (0.188, 0.000, 0.000)
Sr (0.812, 0.000, 0.000)
Gd (0.500, 0.001, 0.001)
Cu (0.358, 0.501, 0.501)
Cu (0.642, 0.501, 0.501)
Ru (0.000, 0.499, 0.499)
O (0.000, 0.498, 0.999)
O (0.000, 0.999, 0.498)
O (0.169, 0.499, 0.499)
O (0.372, 0.001, 0.501)
O (0.372, 0.501, 0.001)
O (0.628, 0.001, 0.501)
O (0.628, 0.501, 0.001)
O (0.831, 0.499, 0.499)

The following is a calculated PXRD pattern of Zr2Pd6Au. It was derived from a crystal structure in Alexandria, relaxed with PBE, using Cu Kα, 1.54184 Å.

Peak list (10 most intense, 2θ = 15–90°, sorted by position)
d [Å], I/Imax
3.699, 3
2.801, 2
2.345, 100
2.050, 17
2.021, 32
1.439, 21
1.429, 10
1.233, 13
1.220, 24
1.172, 10

Structural model:
Unit cell a=8.574 b=8.574 c=4.101 alpha=90.00 beta=90.00 gamma=90.00
Positions (direct):
Zr (0.176, 0.176, 0.000)
Zr (0.324, 0.676, 0.500)
Zr (0.676, 0.324, 0.500)
Zr (0.824, 0.824, 0.000)
Pd (0.002, 0.334, 0.500)
Pd (0.162, 0.838, 0.000)
Pd (0.166, 0.502, 0.000)
Pd (0.334, 0.002, 0.500)
Pd (0.338, 0.338, 0.500)
Pd (0.498, 0.834, 0.000)
Pd (0.502, 0.166, 0.000)
Pd (0.662, 0.662, 0.500)
Pd (0.666, 0.998, 0.500)
Pd (0.834, 0.498, 0.000)
Pd (0.838, 0.162, 0.000)
Pd (0.998, 0.666, 0.500)
Au (0.000, 0.000, 0.500)
Au (0.500, 0.500, 0.000)

The following is a calculated PXRD pattern of Rb2Cu2BiSe4. It was derived from a crystal structure in Alexandria, relaxed with PBE, using Cu Kα, 1.54184 Å.

Peak list (10 most intense, 2θ = 15–90°, sorted by position)
d [Å], I/Imax
3.674, 28
3.180, 42
2.944, 60
2.906, 100
2.764, 40
2.715, 40
2.495, 34
2.061, 36
1.935, 30
1.805, 41

Structural model:
Unit cell a=8.105 b=8.105 c=8.229 alpha=109.64 beta=109.64 gamma=29.46
Positions (direct):
Rb (0.132, 0.132, 0.048)
Rb (0.868, 0.868, 0.952)
Cu (0.308, 0.308, 0.509)
Cu (0.692, 0.692, 0.491)
Bi (0.000, 0.000, 0.500)
Se (0.202, 0.202, 0.671)
Se (0.469, 0.469, 0.728)
Se (0.531, 0.531, 0.272)
Se (0.798, 0.798, 0.329)

The following is a calculated PXRD pattern of Li2Pm2YSi2. It was derived from a crystal structure in Alexandria, relaxed with PBE, using Cu Kα, 1.54184 Å.

Peak list (10 most intense, 2θ = 15–90°, sorted by position)
d [Å], I/Imax
3.793, 100
3.361, 23
3.163, 17
2.770, 60
2.588, 81
2.210, 58
1.804, 19
1.680, 22
1.429, 16
1.338, 21

Structural model:
Unit cell a=9.705 b=9.705 c=9.705 alpha=26.32 beta=26.32 gamma=26.32
Positions (direct):
Li (0.109, 0.109, 0.109)
Li (0.891, 0.891, 0.891)
Pm (0.376, 0.376, 0.376)
Pm (0.624, 0.624, 0.624)
Y (0.500, 0.500, 0.500)
Si (0.231, 0.231, 0.231)
Si (0.769, 0.769, 0.769)

The following is a calculated PXRD pattern of Ce4Au. It was derived from a crystal structure in Alexandria, relaxed with PBE, using Cu Kα, 1.54184 Å.

Peak list (10 most intense, 2θ = 15–90°, sorted by position)
d [Å], I/Imax
3.166, 55
2.977, 35
2.941, 72
2.872, 47
2.851, 49
2.683, 47
2.608, 100
2.510, 68
2.239, 34
1.699, 37

Structural model:
Unit cell a=6.917 b=6.917 c=6.795 alpha=94.49 beta=94.49 gamma=56.33
Positions (direct):
Ce (0.036, 0.036, 0.313)
Ce (0.108, 0.535, 0.356)
Ce (0.414, 0.414, 0.856)
Ce (0.465, 0.892, 0.644)
Ce (0.535, 0.108, 0.356)
Ce (0.586, 0.586, 0.144)
Ce (0.892, 0.465, 0.644)
Ce (0.964, 0.964, 0.687)
Au (0.180, 0.180, 0.996)
Au (0.820, 0.820, 0.004)

The following is a calculated PXRD pattern of TlCd. It was derived from a crystal structure in Alexandria, relaxed with PBE, using Cu Kα, 1.54184 Å.

Peak list (10 most intense, 2θ = 15–90°, sorted by position)
d [Å], I/Imax
2.791, 78
2.769, 100
2.747, 86
2.704, 77
2.508, 62
2.487, 67
2.196, 37
1.783, 21
1.489, 23
1.477, 20

Structural model:
Unit cell a=5.937 b=6.078 c=6.687 alpha=86.07 beta=66.80 gamma=81.30
Positions (direct):
Tl (0.213, 0.102, 0.220)
Tl (0.249, 0.632, 0.949)
Tl (0.751, 0.368, 0.051)
Tl (0.787, 0.898, 0.780)
Cd (0.251, 0.587, 0.446)
Cd (0.299, 0.138, 0.689)
Cd (0.701, 0.862, 0.311)
Cd (0.749, 0.413, 0.554)

The following is a calculated PXRD pattern of KMo2Br8. It was derived from a crystal structure in Alexandria, relaxed with PBE, using Cu Kα, 1.54184 Å.

Peak list (10 most intense, 2θ = 15–90°, sorted by position)
d [Å], I/Imax
4.560, 58
4.493, 50
3.212, 95
2.944, 71
2.881, 34
2.855, 35
2.636, 100
2.301, 59
2.137, 35
1.969, 33

Structural model:
Unit cell a=5.273 b=8.861 c=9.664 alpha=67.31 beta=74.29 gamma=88.98
Positions (direct):
K (0.000, 0.000, 0.000)
Mo (0.301, 0.202, 0.384)
Mo (0.699, 0.798, 0.616)
Br (0.182, 0.265, 0.623)
Br (0.210, 0.865, 0.588)
Br (0.380, 0.488, 0.206)
Br (0.417, 0.104, 0.159)
Br (0.583, 0.896, 0.841)
Br (0.620, 0.512, 0.794)
Br (0.790, 0.135, 0.412)
Br (0.818, 0.735, 0.377)